# MgTi3V5O16
Calculated powder X-ray diffraction pattern, copper Kα. Input: a cell relaxed with GGA+U.
Lines closer than 0.1° are merged.

Top 10 peaks for 2θ = 10–80°, low angle first:
| Position (°2θ) | I_rel | h k l |
| --- | --- | --- |
| 18.36 | 100 | 0 0 2 |
| 18.80 | 36 | 1 0 1 |
| 20.16 | 21 | 0 1 -1 |
| 21.47 | 46 | 1 1 -1 |
| 30.39 | 28 | 1 1 3 |
| 35.00 | 21 | 1 -1 2 |
| 35.29 | 65 | 0 2 1 |
| 56.83 | 27 | 2 0 5 |
| 61.67 | 24 | 2 -2 0 |
| 63.27 | 26 | 2 4 1 |

```
MgTi3V5O16
1.0
5.8597 0.0000 0.0000
2.7918 5.1759 0.0000
1.4824 0.7885 9.6622
Mg Ti V O
1 3 5 16
direct
0.0000 0.0000 0.0000 Mg
0.0421 0.0358 0.7065 Ti
0.2928 0.7477 0.2735 Ti
0.8159 0.2964 0.2702 Ti
0.0225 0.5222 0.7642 V
0.3281 0.3253 0.0612 V
0.5276 0.0195 0.7631 V
0.5776 0.5706 0.5417 V
0.7479 0.8173 0.2715 V
0.1230 0.6648 0.1436 O
0.1318 0.1408 0.1448 O
0.2187 0.7111 0.6378 O
0.2291 0.2225 0.6450 O
0.3286 0.8930 0.8612 O
0.3457 0.3436 0.8700 O
0.4537 0.8993 0.3817 O
0.4570 0.4471 0.3789 O
0.6286 0.6446 0.1605 O
0.6634 0.1342 0.1421 O
0.7197 0.2102 0.6385 O
0.7215 0.7136 0.6524 O
0.8661 0.8629 0.8524 O
0.8936 0.3265 0.8617 O
0.8942 0.4698 0.3812 O
0.9383 0.9484 0.3587 O
```



# MgTi3V5O16
Calculated powder X-ray diffraction pattern, copper Kα. Input: a cell relaxed with GGA+U.
Lines closer than 0.1° are merged.

Top 10 peaks for 2θ = 10–80°, low angle first:
| Position (°2θ) | I_rel | h k l |
| --- | --- | --- |
| 19.06 | 100 | 0 0 2 |
| 19.58 | 36 | 1 0 -1 |
| 19.72 | 71 | 1 -1 1 |
| 25.89 | 51 | -1 1 2 |
| 35.90 | 54 | -2 1 2 |
| 36.05 | 28 | 2 0 -1 |
| 36.21 | 42 | 2 0 1 |
| 46.01 | 26 | -2 2 3 |
| 61.65 | 30 | 2 0 5 |
| 62.53 | 46 | 2 -4 0 |

```
MgTi3V5O16
1.0
5.9372 0.0000 0.0000
-2.9430 5.1665 0.0000
-0.0009 -0.1248 9.3150
Mg Ti V O
1 3 5 16
direct
0.0000 0.0000 0.0000 Mg
0.3238 0.1526 0.6660 Ti
0.4999 0.5013 0.1770 Ti
0.7996 0.6703 0.6645 Ti
0.9996 0.5070 0.1840 V
0.0017 0.0109 0.4061 V
0.3168 0.6662 0.8873 V
0.5062 0.0097 0.1809 V
0.8282 0.1686 0.6835 V
0.0037 0.9925 0.7913 O
0.0170 0.5108 0.7909 O
0.1375 0.8552 0.5496 O
0.1402 0.2842 0.5534 O
0.1880 0.3776 0.0487 O
0.1896 0.8146 0.0503 O
0.3403 0.1657 0.2756 O
0.3442 0.6693 0.2809 O
0.4906 0.9924 0.7865 O
0.4957 0.5144 0.7861 O
0.6240 0.8168 0.0483 O
0.6560 0.3404 0.5756 O
0.6719 0.3366 0.0739 O
0.7014 0.8554 0.5503 O
0.8464 0.6766 0.2762 O
0.8470 0.1695 0.2741 O
```



# MgTi3V5O16
Calculated powder X-ray diffraction pattern, copper Kα. Input: a cell relaxed with GGA+U.
Lines closer than 0.1° are merged.

Top 10 peaks for 2θ = 10–80°, low angle first:
| Position (°2θ) | I_rel | h k l |
| --- | --- | --- |
| 18.85 | 100 | 0 0 2 |
| 19.58 | 55 | 1 0 1 |
| 19.69 | 54 | 0 1 1 |
| 19.87 | 76 | 1 0 -1 |
| 25.92 | 36 | 1 0 -2 |
| 36.20 | 51 | 2 2 1 |
| 45.30 | 43 | 2 0 3 |
| 45.65 | 34 | 0 2 3 |
| 46.11 | 39 | 2 2 -3 |
| 62.72 | 48 | 2 -2 0 |

```
MgTi3V5O16
1.0
5.9137 0.0000 0.0000
2.9534 5.1355 0.0000
0.1840 -0.0176 9.4166
Mg Ti V O
1 3 5 16
direct
0.0000 0.0000 0.0000 Mg
0.3153 0.3499 0.7707 Ti
0.5130 0.4945 0.2582 Ti
0.8168 0.3419 0.7352 Ti
0.3125 0.8489 0.5385 V
0.4424 0.0326 0.2536 V
0.7848 0.8441 0.7592 V
0.9615 0.5199 0.0367 V
0.9805 0.9522 0.2972 V
0.1030 0.2272 0.8874 O
0.1130 0.6677 0.8897 O
0.1536 0.1178 0.3899 O
0.1613 0.6773 0.4002 O
0.2785 0.8401 0.1567 O
0.2957 0.3349 0.1556 O
0.4597 0.0260 0.6590 O
0.4753 0.5133 0.6573 O
0.5949 0.6980 0.3706 O
0.6233 0.1778 0.3630 O
0.6466 0.1800 0.8679 O
0.6796 0.6727 0.8791 O
0.8035 0.8527 0.1503 O
0.8100 0.3240 0.1431 O
0.9703 0.0071 0.6572 O
0.9826 0.5101 0.6527 O
```



# Mg6TiVO8
Calculated powder X-ray diffraction pattern, copper Kα. Input: a cell relaxed with GGA+U.
Lines closer than 0.1° are merged.

Top 10 peaks for 2θ = 10–80°, low angle first:
| Position (°2θ) | I_rel | h k l |
| --- | --- | --- |
| 10.22 | 21 | 0 0 1 |
| 31.23 | 7 | 1 1 1 |
| 36.15 | 31 | 1 1 2 |
| 41.76 | 51 | 0 0 4 |
| 42.11 | 100 | 2 0 0 |
| 60.80 | 57 | 2 0 4 |
| 61.06 | 28 | 2 2 0 |
| 72.59 | 6 | 1 1 6 |
| 73.07 | 11 | 3 1 2 |
| 76.72 | 26 | 2 2 4 |

```
Mg6TiVO8
1.0
4.2921 0.0000 0.0000
0.0000 4.2921 0.0000
0.0000 0.0000 8.6517
Mg Ti V O
6 1 1 8
direct
0.0000 0.0000 0.0000 Mg
0.0000 0.5000 0.2464 Mg
0.0000 0.5000 0.7536 Mg
0.5000 0.0000 0.2464 Mg
0.5000 0.0000 0.7536 Mg
0.5000 0.5000 0.0000 Mg
0.0000 0.0000 0.5000 Ti
0.5000 0.5000 0.5000 V
0.0000 0.0000 0.2428 O
0.0000 0.0000 0.7572 O
0.0000 0.5000 0.0000 O
0.0000 0.5000 0.5000 O
0.5000 0.0000 0.0000 O
0.5000 0.0000 0.5000 O
0.5000 0.5000 0.2457 O
0.5000 0.5000 0.7543 O
```



# MgTi3V5O16
Calculated powder X-ray diffraction pattern, copper Kα. Input: a cell relaxed with GGA+U.
Lines closer than 0.1° are merged.

Top 10 peaks for 2θ = 10–80°, low angle first:
| Position (°2θ) | I_rel | h k l |
| --- | --- | --- |
| 18.31 | 100 | 0 0 2 |
| 20.19 | 24 | 1 0 -1 |
| 20.39 | 30 | 0 1 -1 |
| 21.44 | 41 | 1 1 -1 |
| 23.81 | 21 | 0 1 2 |
| 30.00 | 27 | 1 1 3 |
| 35.09 | 23 | 0 2 1 |
| 35.36 | 37 | 2 0 1 |
| 56.22 | 22 | 0 2 5 |
| 63.00 | 25 | 4 2 1 |

```
MgTi3V5O16
1.0
5.9041 0.0000 0.0000
2.8670 5.1787 0.0000
1.5044 1.0531 9.6957
Mg Ti V O
1 3 5 16
direct
0.0000 0.0000 0.0000 Mg
0.0058 0.4661 0.2372 Ti
0.2278 0.2165 0.7158 Ti
0.4808 0.9689 0.2480 Ti
0.2103 0.6994 0.7411 V
0.4410 0.4193 0.4653 V
0.6742 0.6722 0.9335 V
0.6979 0.2352 0.7311 V
0.9658 0.9576 0.2840 V
0.0572 0.0576 0.6510 O
0.1163 0.5333 0.6127 O
0.1290 0.6724 0.1418 O
0.1562 0.1251 0.1498 O
0.2962 0.2595 0.3496 O
0.3005 0.7590 0.3608 O
0.3471 0.8515 0.8679 O
0.3604 0.3427 0.8418 O
0.5514 0.0975 0.6177 O
0.5679 0.5314 0.6233 O
0.6893 0.6414 0.1137 O
0.6913 0.0925 0.1449 O
0.7934 0.7388 0.3529 O
0.7954 0.2483 0.3650 O
0.8534 0.8626 0.8625 O
0.8611 0.3439 0.8627 O
```



# MgTi3V5O16
Calculated powder X-ray diffraction pattern, copper Kα. Input: a cell relaxed with GGA+U.
Lines closer than 0.1° are merged.

Top 10 peaks for 2θ = 10–80°, low angle first:
| Position (°2θ) | I_rel | h k l |
| --- | --- | --- |
| 19.04 | 100 | 0 0 2 |
| 19.57 | 99 | 1 0 1 |
| 19.93 | 92 | 1 0 -1 |
| 26.09 | 42 | 1 0 -2 |
| 35.94 | 68 | 1 2 -2 |
| 39.70 | 29 | 2 0 2 |
| 45.32 | 29 | 2 0 3 |
| 45.64 | 41 | 0 2 3 |
| 62.09 | 48 | 2 -2 0 |
| 62.48 | 30 | 2 4 0 |

```
MgTi3V5O16
1.0
5.8930 0.0000 0.0000
2.9097 5.1862 0.0000
0.2033 -0.0400 9.3219
Mg Ti V O
1 3 5 16
direct
0.0000 0.0000 0.0000 Mg
0.0236 0.0370 0.6950 Ti
0.1750 0.6736 0.2712 Ti
0.4946 0.5014 0.7384 Ti
0.0389 0.4827 0.9649 V
0.1972 0.1752 0.2376 V
0.5512 0.9697 0.7502 V
0.6658 0.1629 0.4591 V
0.6838 0.6609 0.2331 V
0.0086 0.4988 0.3496 O
0.0096 0.0103 0.3539 O
0.1908 0.1495 0.8471 O
0.1931 0.6730 0.8527 O
0.3194 0.3373 0.1231 O
0.3330 0.8375 0.1404 O
0.3782 0.8216 0.6326 O
0.4036 0.3012 0.6239 O
0.5057 0.4967 0.3531 O
0.5253 0.0115 0.3526 O
0.7001 0.6689 0.8444 O
0.7185 0.1614 0.8420 O
0.8264 0.3258 0.5959 O
0.8376 0.8871 0.6067 O
0.8913 0.3290 0.1091 O
0.8933 0.7777 0.1125 O
```